Diffraction record for Nd7Dy2Er2. The PXRD pattern is simulated, not measured: it uses a cell relaxed with GGA-PBE and Cu Kα (λ = 1.5418 Å).

Largest 6 diffraction maxima, low angle first, 10 to 80 degrees two-theta:
Position (°2θ)  I (rel.)
30.96  1000
31.59  666
32.48  304
32.59  345
33.18  342
33.56  352

Cell and atoms:
Lattice parameters (Å, degrees): 6.978 6.978 8.241 98.29 98.29 103.90
Fractional positions:
Nd 0.000 0.000 0.000
Nd 0.091 0.516 0.829
Nd 0.199 0.199 0.485
Nd 0.484 0.909 0.171
Nd 0.516 0.091 0.829
Nd 0.801 0.801 0.515
Nd 0.909 0.484 0.171
Dy 0.415 0.415 0.179
Dy 0.585 0.585 0.821
Er 0.287 0.713 0.500
Er 0.713 0.287 0.500